Starting from a cell relaxed with GGA-PBE, the X-ray diffraction stick pattern of Cr23C6 was computed for Cu Kα X-rays.
Peak positions follow from Bragg's law for the DFT cell and can differ from measured ones.

Main lines, low angle first (2θ = 10–90°):
38.13 deg, I = 22
41.93 deg, I = 28
44.60 deg, I = 100
48.80 deg, I = 23
51.20 deg, I = 27
76.59 deg, I = 20

Crystal structure
```
Cr23C6
1.0
0.000 5.278 5.278
5.278 0.000 5.278
5.278 5.278 0.000
Cr C
23 6
Direct
0.000 0.000 0.000 Cr
0.000 0.000 0.339 Cr
0.000 0.000 0.661 Cr
0.000 0.339 0.000 Cr
0.000 0.339 0.661 Cr
0.000 0.661 0.000 Cr
0.000 0.661 0.339 Cr
0.143 0.619 0.619 Cr
0.250 0.250 0.250 Cr
0.339 0.000 0.000 Cr
0.339 0.000 0.661 Cr
0.339 0.661 0.000 Cr
0.381 0.381 0.381 Cr
0.381 0.381 0.857 Cr
0.381 0.857 0.381 Cr
0.619 0.143 0.619 Cr
0.619 0.619 0.143 Cr
0.619 0.619 0.619 Cr
0.661 0.000 0.000 Cr
0.661 0.000 0.339 Cr
0.661 0.339 0.000 Cr
0.750 0.750 0.750 Cr
0.857 0.381 0.381 Cr
0.277 0.277 0.723 C
0.277 0.723 0.277 C
0.277 0.723 0.723 C
0.723 0.277 0.277 C
0.723 0.277 0.723 C
0.723 0.723 0.277 C
```